Starting from a GGA-PBE-relaxed structure, the XRD peak list of Hf4Zr2Cu3C3 was computed for copper Kα.

Cell and atoms:
```
data_Hf4Zr2Cu3C3
_cell_length_a 9.740
_cell_length_b 5.621
_cell_length_c 14.281
_cell_angle_alpha 90.00
_cell_angle_beta 103.73
_cell_angle_gamma 90.00
_space_group_name_H-M_alt 'C 1 2/c 1'
_space_group_IT_number 15
loop_
_space_group_symop_operation_xyz
'x,y,z'
'-x,-y,-z'
'-x,y,-z+1/2'
'x,-y,z+1/2'
'x+1/2,y+1/2,z'
'-x+1/2,-y+1/2,-z'
'-x+1/2,y+1/2,-z+1/2'
'x+1/2,-y+1/2,z+1/2'
loop_
_atom_site_label
_atom_site_fract_x
_atom_site_fract_y
_atom_site_fract_z
_atom_site_occupancy
Hf1 0.114 0.087 0.088 1
Hf2 0.222 0.082 0.412 1
Zr1 0.045 0.419 0.896 1
Cu1 0.000 0.074 0.250 1
Cu2 0.239 0.345 0.249 1
C1 0.083 0.252 0.500 1
C2 0.250 0.250 0.000 1
```

The 8 most intense peaks (2θ = 10–90°), low angle first:
| two_theta | d/Å | intensity | index |
| --- | --- | --- | --- |
| 12.8 | 6.936 | 36.8 | 0 0 2 |
| 31.8 | 2.811 | 53.1 | 3 1 -1 |
| 32.5 | 2.757 | 47.7 | 0 2 1 |
| 37.3 | 2.412 | 100.0 | 3 1 -4 |
| 37.4 | 2.402 | 98.1 | 0 2 3 |
| 37.6 | 2.393 | 96.3 | 3 1 2 |
| 39.0 | 2.312 | 64.1 | 0 0 6 |
| 56.7 | 1.623 | 46.7 | 6 0 -2 |

Starting from a GGA-PBE-relaxed structure, the XRD peak list of SrAl5IrPd was computed for copper Kα.

Cell and atoms:
```
data_SrAl5IrPd
_cell_length_a 4.087
_cell_length_b 7.365
_cell_length_c 10.127
_cell_angle_alpha 90.00
_cell_angle_beta 90.00
_cell_angle_gamma 90.00
_space_group_name_H-M_alt 'I m m 2'
_space_group_IT_number 44
loop_
_space_group_symop_operation_xyz
'x,y,z'
'-x,-y,z'
'-x,y,z'
'x,-y,z'
'x+1/2,y+1/2,z+1/2'
'-x+1/2,-y+1/2,z+1/2'
'-x+1/2,y+1/2,z+1/2'
'x+1/2,-y+1/2,z+1/2'
loop_
_atom_site_label
_atom_site_fract_x
_atom_site_fract_y
_atom_site_fract_z
_atom_site_occupancy
Sr1 0.000 0.000 0.000 1
Al1 0.000 0.187 0.342 1
Al2 0.000 0.194 0.654 1
Al3 0.000 0.500 0.002 1
Ir1 0.000 0.500 0.766 1
Pd1 0.000 0.500 0.239 1
```

The 8 most intense peaks (2θ = 10–90°), low angle first:
| two_theta | d/Å | intensity | index |
| --- | --- | --- | --- |
| 17.5 | 5.064 | 40.7 | 0 0 2 |
| 24.2 | 3.682 | 43.6 | 0 2 0 |
| 24.9 | 3.574 | 28.0 | 1 1 0 |
| 30.6 | 2.920 | 100.0 | 1 1 2 |
| 33.9 | 2.641 | 26.8 | 1 2 1 |
| 43.4 | 2.086 | 34.2 | 0 2 4 |
| 46.7 | 1.943 | 41.3 | 1 3 2 |
| 63.7 | 1.460 | 21.7 | 2 2 4 |

Starting from a GGA-PBE-relaxed structure, the XRD peak list of Li3NdHo2Pb3 was computed for copper Kα.

Cell and atoms:
```
data_Li3NdHo2Pb3
_cell_length_a 4.7388
_cell_length_b 4.7388
_cell_length_c 11.2653
_cell_angle_alpha 90.00
_cell_angle_beta 90.00
_cell_angle_gamma 120.00
_space_group_name_H-M_alt 'P -6 m 2'
_space_group_IT_number 187
_space_group_name_Hall 'P -6 2'
loop_
_atom_site_label
_atom_site_fract_x
_atom_site_fract_y
_atom_site_fract_z
_atom_site_occupancy
Li1 0.0000 0.0000 0.0000 1
Li2 0.3333 0.6667 0.3051 1
Nd1 0.6667 0.3333 0.5000 1
Ho1 0.6667 0.3333 0.1585 1
Pb1 0.0000 0.0000 0.3146 1
Pb2 0.3333 0.6667 0.0000 1
```

The 8 most intense peaks (2θ = 10–90°), low angle first:
| two_theta | d/Å | intensity | index |
| --- | --- | --- | --- |
| 23.1 | 3.856 | 35.8 | 1 0 1 |
| 26.9 | 3.317 | 44.1 | 1 0 2 |
| 32.3 | 2.770 | 100.0 | 1 0 3 |
| 38.0 | 2.369 | 64.3 | 1 1 0 |
| 46.0 | 1.975 | 14.7 | 1 0 5 |
| 50.7 | 1.801 | 28.7 | 2 0 3 |
| 63.2 | 1.472 | 23.5 | 1 1 6 |
| 65.1 | 1.434 | 27.3 | 2 1 3 |

Starting from a GGA-PBE-relaxed structure, the XRD peak list of Y2B6Os was computed for copper Kα.

Cell and atoms:
```
data_Y2B6Os
_cell_length_a 9.159
_cell_length_b 11.534
_cell_length_c 3.655
_cell_angle_alpha 90.00
_cell_angle_beta 90.00
_cell_angle_gamma 90.00
_space_group_name_H-M_alt 'P b a m'
_space_group_IT_number 55
loop_
_space_group_symop_operation_xyz
'x,y,z'
'-x,-y,-z'
'-x,-y,z'
'x,y,-z'
'x+1/2,-y+1/2,-z'
'-x+1/2,y+1/2,z'
'-x+1/2,y+1/2,-z'
'x+1/2,-y+1/2,z'
loop_
_atom_site_label
_atom_site_fract_x
_atom_site_fract_y
_atom_site_fract_z
_atom_site_occupancy
Y1 0.056 0.126 0.000 1
Y2 0.178 0.414 0.000 1
B1 0.017 0.287 0.500 1
B2 0.054 0.567 0.500 1
B3 0.111 0.969 0.500 1
B4 0.132 0.814 0.500 1
B5 0.209 0.233 0.500 1
B6 0.247 0.580 0.500 1
Os1 0.137 0.678 0.000 1
```

The 8 most intense peaks (2θ = 10–90°), low angle first:
| two_theta | d/Å | intensity | index |
| --- | --- | --- | --- |
| 20.9 | 4.256 | 24.6 | 2 1 0 |
| 24.4 | 3.655 | 100.0 | 0 0 1 |
| 30.3 | 2.949 | 54.6 | 3 1 0 |
| 32.6 | 2.751 | 37.6 | 1 4 0 |
| 39.3 | 2.295 | 72.3 | 3 1 1 |
| 41.1 | 2.198 | 47.9 | 1 4 1 |
| 41.6 | 2.171 | 32.7 | 3 2 1 |
| 45.3 | 2.001 | 31.1 | 3 3 1 |